For Cs3TlV2O8, a DFT-relaxed cell (PBE+U, Alexandria) gives the simulated powder XRD pattern in this record (Cu Kα).

Cell and atoms:
```
data_Cs3TlV2O8
_space_group_name_H-M_alt 'P -3 m 1'
_space_group_IT_number 164
_space_group_name_Hall '-P 3 2"'
_cell_length_a 6.1623
_cell_length_b 6.1623
_cell_length_c 8.4102
_cell_angle_alpha 90.00
_cell_angle_beta 90.00
_cell_angle_gamma 120.00
loop_
_atom_site_label
_atom_site_fract_x
_atom_site_fract_y
_atom_site_fract_z
Cs1 0.0000 0.0000 0.0000
Cs2 0.3333 0.6667 0.7267
Tl1 0.0000 0.0000 0.5000
V1 0.3333 0.6667 0.2797
O1 0.1754 0.3508 0.3433
O2 0.3333 0.6667 0.0787
```

Main lines, by intensity (10° ≤ 2θ ≤ 80°):
27.00 deg, I 100
28.98 deg, I 84
40.02 deg, I 41
50.16 deg, I 36
52.71 deg, I 26
51.36 deg, I 17
67.03 deg, I 15
10.52 deg, I 14
60.05 deg, I 14
16.61 deg, I 12
69.18 deg, I 11
19.70 deg, I 10